Entry 1:
Calculated X-ray powder pattern of AcLa5Sn6 for Cu Kα, 1.54184 Å, from a crystal structure in Alexandria, relaxed with GGA-PBE.
Intensities are scaled so that the largest is 100.

Structural model:
```
12
Lattice="-2.582 4.604 7.739 2.582 -4.604 7.739 2.582 4.604 -7.739" Properties=species:S:1:pos:R:3 pbc="T T T"
Ac 0.000 0.000 0.000
La 2.582 0.000 2.587
La 0.000 0.000 5.168
La 0.000 4.604 0.000
La 0.000 0.000 10.309
La 0.000 4.604 5.152
Sn 2.582 -2.286 5.118
Sn 2.582 2.338 0.000
Sn 0.000 2.318 2.621
Sn 2.582 2.286 5.118
Sn 0.000 2.266 7.739
Sn 0.000 6.890 2.621
```

The 8 most intense peaks (10 to 90 degrees two-theta), by angle:
2θ/deg, I/Imax
31.27, 100.0
34.76, 37.8
39.13, 13.8
49.98, 13.7
53.33, 22.6
60.15, 31.6
65.24, 12.4
66.04, 12.1

***

Entry 2:
Calculated X-ray powder pattern of NpIn3O8 for Cu Kα, 1.54184 Å, from a crystal structure in Alexandria, relaxed with GGA-PBE.
Intensities are scaled so that the largest is 100.

Structural model:
```
12
Lattice="5.239 0.000 0.000 0.000 5.239 0.000 0.000 0.000 5.239" Properties=species:S:1:pos:R:3 pbc="T T T"
Np 0.000 0.000 0.000
In 0.000 2.620 2.620
In 2.620 0.000 2.620
In 2.620 2.620 0.000
O 1.272 1.272 1.272
O 1.272 1.272 3.967
O 1.272 3.967 1.272
O 1.272 3.967 3.967
O 3.967 1.272 1.272
O 3.967 1.272 3.967
O 3.967 3.967 1.272
O 3.967 3.967 3.967
```

The 8 most intense peaks (10 to 90 degrees two-theta), by angle:
2θ/deg, I/Imax
16.92, 11.4
24.02, 9.2
29.53, 100.0
34.23, 30.1
49.19, 52.4
58.42, 43.2
79.79, 17.6
82.30, 11.8

***

Entry 3:
Calculated X-ray powder pattern of Pu3Pd2Pt for Cu Kα, 1.54184 Å, from a crystal structure in Alexandria, relaxed with GGA-PBE.
Intensities are scaled so that the largest is 100.

Structural model:
```
6
Lattice="2.473 -7.470 0.000 2.473 7.470 0.000 0.000 0.000 3.534" Properties=species:S:1:pos:R:3 pbc="T T T"
Pu 0.000 0.000 0.000
Pu 2.473 2.412 0.000
Pu 2.473 -2.412 0.000
Pd 2.473 4.873 1.767
Pd 2.473 -4.873 1.767
Pt 2.473 0.000 1.767
```

The 8 most intense peaks (10 to 90 degrees two-theta), by angle:
2θ/deg, I/Imax
36.07, 100.0
36.33, 19.9
51.74, 7.4
52.13, 14.0
64.69, 7.4
64.86, 21.6
65.20, 14.7
76.52, 11.2